Diffraction record for Cr3S4. The X-ray diffraction stick pattern is theoretical, not measured: it uses a cell relaxed with PBE and CuKα.
Lines closer than 0.1° are merged.

Peak list (10 most intense, 2θ from 10° to 90°, low angle first)
- hkl 0 0 2, 16.0 deg, rel. 46
- hkl 1 0 1, 17.1 deg, rel. 40
- hkl 2 0 0, 30.0 deg, rel. 65
- hkl 1 1 -2, 34.0 deg, rel. 100
- hkl 2 0 2, 34.5 deg, rel. 47
- hkl 1 1 -4, 44.4 deg, rel. 86
- hkl 1 1 4, 44.9 deg, rel. 72
- hkl 2 0 4, 45.2 deg, rel. 40
- hkl 0 2 0, 53.2 deg, rel. 37
- hkl 3 1 0, 53.3 deg, rel. 68

a b c (Å): 5.948 3.443 11.095
angles (deg): 90.00 91.23 90.00
Space group Pm (No. 6)
Symmetry-distinct sites (fractional):
Cr 0.000 0.000 0.000 (multiplicity 1)
Cr 0.011 0.000 0.747 (multiplicity 1)
Cr 0.483 0.500 0.762 (multiplicity 1)
Cr 0.495 0.500 0.504 (multiplicity 1)
Cr 0.528 0.500 0.246 (multiplicity 1)
Cr 0.965 0.000 0.265 (multiplicity 1)
S 0.156 0.500 0.139 (multiplicity 1)
S 0.165 0.500 0.630 (multiplicity 1)
S 0.329 0.000 0.879 (multiplicity 1)
S 0.340 0.000 0.366 (multiplicity 1)
S 0.655 0.000 0.639 (multiplicity 1)
S 0.663 0.000 0.124 (multiplicity 1)
S 0.829 0.500 0.386 (multiplicity 1)
S 0.838 0.500 0.868 (multiplicity 1)

=====

Diffraction record for In4Sn3O12. The X-ray diffraction stick pattern is theoretical, not measured: it uses a cell relaxed with PBE and CuKα.
Lines closer than 0.1° are merged.

Peak list (10 most intense, 2θ from 10° to 90°, low angle first)
- hkl 1 1 2, 29.8 deg, rel. 48
- hkl 0 2 -2, 29.9 deg, rel. 50
- hkl 2 -1 0, 30.1 deg, rel. 100
- hkl 2 1 -2, 34.7 deg, rel. 40
- hkl 1 -1 4, 34.8 deg, rel. 20
- hkl 0 1 6, 49.9 deg, rel. 28
- hkl 1 2 -6, 50.0 deg, rel. 29
- hkl -3 1 4, 50.2 deg, rel. 15
- hkl 2 0 6, 59.2 deg, rel. 18
- hkl 3 -2 4, 59.5 deg, rel. 35

a b c (Å): 6.310 6.339 12.621
angles (deg): 99.45 99.37 99.26
Space group P1 (No. 1)
Symmetry-distinct sites (fractional):
In 0.000 0.000 0.000 (multiplicity 1)
In 0.001 0.001 0.503 (multiplicity 1)
In 0.088 0.262 0.280 (multiplicity 1)
In 0.257 0.554 0.044 (multiplicity 1)
In 0.536 0.176 0.648 (multiplicity 1)
In 0.707 0.467 0.913 (multiplicity 1)
In 0.711 0.471 0.416 (multiplicity 1)
In 0.795 0.730 0.693 (multiplicity 1)
Sn 0.084 0.264 0.778 (multiplicity 1)
Sn 0.259 0.551 0.545 (multiplicity 1)
Sn 0.399 0.867 0.846 (multiplicity 1)
Sn 0.400 0.865 0.347 (multiplicity 1)
Sn 0.531 0.182 0.147 (multiplicity 1)
Sn 0.794 0.730 0.192 (multiplicity 1)
O 0.080 0.914 0.295 (multiplicity 1)
O 0.088 0.937 0.804 (multiplicity 1)
O 0.218 0.298 0.642 (multiplicity 1)
O 0.223 0.278 0.138 (multiplicity 1)
O 0.298 0.551 0.873 (multiplicity 1)
O 0.304 0.556 0.381 (multiplicity 1)
O 0.340 0.961 0.502 (multiplicity 1)
O 0.348 0.958 0.007 (multiplicity 1)
O 0.446 0.769 0.686 (multiplicity 1)
O 0.465 0.768 0.190 (multiplicity 1)
O 0.483 0.180 0.817 (multiplicity 1)
O 0.492 0.176 0.311 (multiplicity 1)
O 0.564 0.449 0.555 (multiplicity 1)
O 0.578 0.441 0.059 (multiplicity 1)
O 0.710 0.804 0.889 (multiplicity 1)
O 0.715 0.808 0.389 (multiplicity 1)
O 0.803 0.042 0.140 (multiplicity 1)
O 0.808 0.449 0.253 (multiplicity 1)
O 0.826 0.047 0.643 (multiplicity 1)
O 0.828 0.444 0.757 (multiplicity 1)
O 0.973 0.692 0.063 (multiplicity 1)
O 0.984 0.286 0.933 (multiplicity 1)
O 0.986 0.683 0.556 (multiplicity 1)
O 0.991 0.290 0.438 (multiplicity 1)